Entry 1:
The following is a simulated PXRD pattern of K3Tl3PbBr8. It was derived from a DFT-relaxed cell (PBE, Alexandria), using a wavelength of 1.5418 Å.
Lines closer than 0.1° are merged.

Cell: 9.5105 9.5105 9.5105 Å, 59.76 59.76 59.76°
Fractional coordinates of all 15 atoms:
K (0.0000, 0.5000, 0.5000)
K (0.5000, 0.0000, 0.5000)
K (0.5000, 0.5000, 0.0000)
Tl (0.0000, 0.0000, 0.5000)
Tl (0.0000, 0.5000, 0.0000)
Tl (0.5000, 0.0000, 0.0000)
Pb (0.0000, 0.0000, 0.0000)
Br (0.2282, 0.2282, 0.7677)
Br (0.2282, 0.7677, 0.2282)
Br (0.2323, 0.7718, 0.7718)
Br (0.2522, 0.2522, 0.2522)
Br (0.7478, 0.7478, 0.7478)
Br (0.7677, 0.2282, 0.2282)
Br (0.7718, 0.2323, 0.7718)
Br (0.7718, 0.7718, 0.2323)

Most intense lines, 5° ≤ 2θ ≤ 70°, in order of rising 2θ:
- 2θ 11.43, I 51
- 2θ 21.96, I 28
- 2θ 26.56, I 100
- 2θ 34.74, I 16
- 2θ 37.84, I 37
- 2θ 37.98, I 38
- 2θ 46.94, I 20
- 2θ 61.71, I 16
- 2θ 61.91, I 17
- 2θ 68.55, I 18

***

Entry 2:
The following is a simulated PXRD pattern of Zn3Hg7. It was derived from a DFT-relaxed cell (PBE, Alexandria), using a wavelength of 1.5418 Å.
Lines closer than 0.1° are merged.

Cell: 8.5471 8.5471 8.5471 Å, 109.47 109.47 109.47°
Fractional coordinates of all 20 atoms:
Zn (0.0000, 0.3488, 0.3488)
Zn (0.0000, 0.6512, 0.6512)
Zn (0.3488, 0.0000, 0.3488)
Zn (0.3488, 0.3488, 0.0000)
Zn (0.6512, 0.0000, 0.6512)
Zn (0.6512, 0.6512, 0.0000)
Hg (0.0000, 0.0000, 0.3274)
Hg (0.0000, 0.0000, 0.6726)
Hg (0.0000, 0.3274, 0.0000)
Hg (0.0000, 0.6726, 0.0000)
Hg (0.2500, 0.5000, 0.7500)
Hg (0.2500, 0.7500, 0.5000)
Hg (0.3274, 0.0000, 0.0000)
Hg (0.3274, 0.3274, 0.3274)
Hg (0.5000, 0.2500, 0.7500)
Hg (0.5000, 0.7500, 0.2500)
Hg (0.6726, 0.0000, 0.0000)
Hg (0.6726, 0.6726, 0.6726)
Hg (0.7500, 0.2500, 0.5000)
Hg (0.7500, 0.5000, 0.2500)

Most intense lines, 5° ≤ 2θ ≤ 70°, in order of rising 2θ:
- 2θ 28.60, I 100
- 2θ 31.40, I 57
- 2θ 33.99, I 77
- 2θ 38.71, I 92
- 2θ 40.89, I 24
- 2θ 45.00, I 18
- 2θ 52.45, I 24
- 2θ 54.19, I 32
- 2θ 55.90, I 22
- 2θ 57.57, I 26

***

Entry 3:
The following is a simulated PXRD pattern of RbNa2GeTe4. It was derived from a DFT-relaxed cell (PBE, Alexandria), using a wavelength of 1.5418 Å.
Lines closer than 0.1° are merged.

Cell: 9.3565 9.3565 8.7958 Å, 115.20 115.20 91.55°
Fractional coordinates of all 16 atoms:
Rb (0.0000, 0.0000, 0.0000)
Rb (0.0000, 0.0000, 0.5000)
Na (0.0000, 0.5000, 0.0000)
Na (0.5000, 0.0000, 0.5000)
Na (0.5000, 0.5000, 0.0000)
Na (0.5000, 0.5000, 0.5000)
Ge (0.0000, 0.5000, 0.5000)
Ge (0.5000, 0.0000, 0.0000)
Te (0.1921, 0.6681, 0.4293)
Te (0.2238, 0.3319, 0.5382)
Te (0.3319, 0.2238, 0.0382)
Te (0.3319, 0.8079, 0.0707)
Te (0.6681, 0.1921, 0.9293)
Te (0.6681, 0.7762, 0.9618)
Te (0.7762, 0.6681, 0.4618)
Te (0.8079, 0.3319, 0.5707)

Most intense lines, 5° ≤ 2θ ≤ 70°, in order of rising 2θ:
- 2θ 12.06, I 56
- 2θ 20.34, I 100
- 2θ 24.26, I 32
- 2θ 25.57, I 98
- 2θ 26.59, I 64
- 2θ 27.71, I 88
- 2θ 28.79, I 48
- 2θ 37.19, I 56
- 2θ 38.81, I 71
- 2θ 41.18, I 39

***

Entry 4:
The following is a simulated PXRD pattern of B2P. It was derived from a DFT-relaxed cell (PBE, Alexandria), using a wavelength of 1.5418 Å.
Lines closer than 0.1° are merged.

Cell: 8.2935 3.1185 7.9956 Å, 84.39 21.98 73.63°
Fractional coordinates of all 6 atoms:
B (0.0558, 0.9442, 0.0558)
B (0.0992, 0.5542, 0.4458)
B (0.5542, 0.0992, 0.9008)
B (0.9442, 0.0558, 0.9442)
P (0.2302, 0.4365, 0.5635)
P (0.4365, 0.2302, 0.7698)

Most intense lines, 5° ≤ 2θ ≤ 70°, in order of rising 2θ:
- 2θ 11.28, I 33
- 2θ 22.68, I 43
- 2θ 33.18, I 63
- 2θ 33.65, I 100
- 2θ 34.31, I 47
- 2θ 37.46, I 39
- 2θ 40.57, I 23
- 2θ 44.24, I 52
- 2θ 59.58, I 33
- 2θ 63.52, I 39